Theoretical powder XRD pattern
Compound: TbNiSn
Radiation: Cu Ka
Structure: a cell relaxed with PBE

Main lines, by angle (10° ≤ 2θ ≤ 90°):
- 2θ = 33.16°, intensity 33
- 2θ = 34.10°, intensity 100
- 2θ = 39.42°, intensity 17
- 2θ = 40.32°, intensity 27
- 2θ = 40.56°, intensity 37
- 2θ = 53.85°, intensity 15
- 2θ = 57.66°, intensity 11
- 2θ = 65.70°, intensity 17
- 2θ = 69.31°, intensity 9
- 2θ = 73.49°, intensity 16

Structural model:
Unit cell a=7.182 b=4.474 c=7.689 alpha=90.00 beta=90.00 gamma=90.00
Fractional positions:
Tb (0.012, 0.250, 0.203)
Tb (0.488, 0.750, 0.703)
Tb (0.512, 0.250, 0.297)
Tb (0.988, 0.750, 0.797)
Ni (0.199, 0.750, 0.415)
Ni (0.301, 0.250, 0.915)
Ni (0.699, 0.750, 0.085)
Ni (0.801, 0.250, 0.585)
Sn (0.191, 0.250, 0.587)
Sn (0.309, 0.750, 0.087)
Sn (0.691, 0.250, 0.913)
Sn (0.809, 0.750, 0.413)

Theoretical powder XRD pattern
Compound: ErB2C2
Radiation: Cu Ka
Structure: a cell relaxed with PBE

Main lines, by angle (10° ≤ 2θ ≤ 90°):
- 2θ = 23.57°, intensity 97
- 2θ = 25.34°, intensity 27
- 2θ = 33.57°, intensity 41
- 2θ = 34.88°, intensity 100
- 2θ = 42.53°, intensity 57
- 2θ = 48.22°, intensity 18
- 2θ = 54.34°, intensity 29
- 2θ = 55.24°, intensity 22
- 2θ = 60.88°, intensity 29
- 2θ = 78.59°, intensity 20

Structural model:
Unit cell a=5.338 b=5.338 c=3.514 alpha=90.00 beta=90.00 gamma=90.00
Fractional positions:
Er (0.000, 0.000, 0.000)
Er (0.500, 0.500, 0.000)
B (0.136, 0.364, 0.500)
B (0.364, 0.864, 0.500)
B (0.636, 0.136, 0.500)
B (0.864, 0.636, 0.500)
C (0.162, 0.662, 0.500)
C (0.338, 0.162, 0.500)
C (0.662, 0.838, 0.500)
C (0.838, 0.338, 0.500)

Theoretical powder XRD pattern
Compound: Ho5Mg
Radiation: Cu Ka
Structure: a cell relaxed with PBE

Main lines, by angle (10° ≤ 2θ ≤ 90°):
- 2θ = 29.25°, intensity 25
- 2θ = 32.34°, intensity 24
- 2θ = 33.52°, intensity 100
- 2θ = 44.16°, intensity 17
- 2θ = 51.87°, intensity 19
- 2θ = 58.43°, intensity 20
- 2θ = 62.46°, intensity 22
- 2θ = 63.18°, intensity 16
- 2θ = 81.90°, intensity 8
- 2θ = 86.07°, intensity 14

Structural model:
Unit cell a=6.564 b=6.564 c=6.564 alpha=55.44 beta=55.44 gamma=55.44
Fractional positions:
Ho (0.000, 0.662, 0.338)
Ho (0.168, 0.168, 0.168)
Ho (0.338, 0.000, 0.662)
Ho (0.662, 0.338, 0.000)
Ho (0.832, 0.832, 0.832)
Mg (0.500, 0.500, 0.500)

Theoretical powder XRD pattern
Compound: WSCl4
Radiation: Cu Ka
Structure: a cell relaxed with PBE

Main lines, by angle (10° ≤ 2θ ≤ 90°):
- 2θ = 13.64°, intensity 51
- 2θ = 14.16°, intensity 100
- 2θ = 15.41°, intensity 66
- 2θ = 17.53°, intensity 63
- 2θ = 17.70°, intensity 28
- 2θ = 17.86°, intensity 49
- 2θ = 22.83°, intensity 34
- 2θ = 26.79°, intensity 31
- 2θ = 29.72°, intensity 24
- 2θ = 33.34°, intensity 32

Structural model:
Unit cell a=6.693 b=7.978 c=8.376 alpha=77.71 beta=75.85 gamma=87.52
Fractional positions:
W (0.143, 0.263, 0.284)
W (0.857, 0.737, 0.716)
S (0.303, 0.498, 0.214)
S (0.697, 0.502, 0.786)
Cl (0.058, 0.232, 0.042)
Cl (0.144, 0.172, 0.566)
Cl (0.195, 0.663, 0.623)
Cl (0.395, 0.064, 0.232)
Cl (0.605, 0.936, 0.768)
Cl (0.805, 0.337, 0.377)
Cl (0.856, 0.828, 0.434)
Cl (0.942, 0.768, 0.958)

Theoretical powder XRD pattern
Compound: Sr5Cd2Sb5F
Radiation: Cu Ka
Structure: a cell relaxed with PBE

Main lines, by angle (10° ≤ 2θ ≤ 90°):
- 2θ = 27.20°, intensity 36
- 2θ = 28.47°, intensity 50
- 2θ = 29.77°, intensity 79
- 2θ = 30.63°, intensity 100
- 2θ = 31.91°, intensity 29
- 2θ = 32.72°, intensity 41
- 2θ = 35.71°, intensity 41
- 2θ = 37.47°, intensity 68
- 2θ = 41.65°, intensity 26
- 2θ = 42.72°, intensity 36

Structural model:
Unit cell a=11.474 b=11.474 c=14.907 alpha=90.00 beta=90.00 gamma=155.85
Fractional positions:
Sr (0.000, 0.000, 0.000)
Sr (0.000, 0.000, 0.500)
Sr (0.098, 0.902, 0.750)
Sr (0.100, 0.900, 0.250)
Sr (0.271, 0.729, 0.620)
Sr (0.271, 0.729, 0.880)
Sr (0.729, 0.271, 0.120)
Sr (0.729, 0.271, 0.380)
Sr (0.900, 0.100, 0.750)
Sr (0.902, 0.098, 0.250)
Cd (0.368, 0.632, 0.086)
Cd (0.368, 0.632, 0.414)
Cd (0.632, 0.368, 0.586)
Cd (0.632, 0.368, 0.914)
Sb (0.149, 0.851, 0.020)
Sb (0.149, 0.851, 0.480)
Sb (0.293, 0.707, 0.250)
Sb (0.495, 0.505, 0.154)
Sb (0.495, 0.505, 0.346)
Sb (0.505, 0.495, 0.654)
Sb (0.505, 0.495, 0.846)
Sb (0.707, 0.293, 0.750)
Sb (0.851, 0.149, 0.520)
Sb (0.851, 0.149, 0.980)
F (0.344, 0.656, 0.750)
F (0.656, 0.344, 0.250)

Copy entry 1 word for word.
Theoretical powder XRD pattern
Compound: TbNiSn
Radiation: Cu Ka
Structure: a cell relaxed with PBE

Main lines, by angle (10° ≤ 2θ ≤ 90°):
- 2θ = 33.16°, intensity 33
- 2θ = 34.10°, intensity 100
- 2θ = 39.42°, intensity 17
- 2θ = 40.32°, intensity 27
- 2θ = 40.56°, intensity 37
- 2θ = 53.85°, intensity 15
- 2θ = 57.66°, intensity 11
- 2θ = 65.70°, intensity 17
- 2θ = 69.31°, intensity 9
- 2θ = 73.49°, intensity 16

Structural model:
Unit cell a=7.182 b=4.474 c=7.689 alpha=90.00 beta=90.00 gamma=90.00
Fractional positions:
Tb (0.012, 0.250, 0.203)
Tb (0.488, 0.750, 0.703)
Tb (0.512, 0.250, 0.297)
Tb (0.988, 0.750, 0.797)
Ni (0.199, 0.750, 0.415)
Ni (0.301, 0.250, 0.915)
Ni (0.699, 0.750, 0.085)
Ni (0.801, 0.250, 0.585)
Sn (0.191, 0.250, 0.587)
Sn (0.309, 0.750, 0.087)
Sn (0.691, 0.250, 0.913)
Sn (0.809, 0.750, 0.413)